Starting from DFT lattice parameters and positions (GGA-PBE), the X-ray diffraction stick pattern of Gd7Pd2S2 was calculated for Cu Ka.
Lines closer than 0.1° are merged.

Main lines, sorted by position (15° ≤ 2θ ≤ 90°):
28.9 deg, rel. 25; 29.4 deg, rel. 31; 30.6 deg, rel. 62; 30.7 deg, rel. 39; 33.8 deg, rel. 36; 34.3 deg, rel. 100; 34.9 deg, rel. 43; 46.9 deg, rel. 27

Structural model:
a b c (Å): 9.167 9.167 9.167
angles (deg): 155.58 66.77 118.94
Positions (direct):
Gd 0.000 0.000 0.000
Gd 0.287 0.402 0.885
Gd 0.291 0.611 0.680
Gd 0.516 0.402 0.115
Gd 0.609 0.239 0.370
Gd 0.869 0.239 0.630
Gd 0.930 0.611 0.320
Pd 0.150 0.910 0.239
Pd 0.671 0.910 0.761
S 0.247 0.747 0.500
S 0.658 0.658 0.000


Starting from DFT lattice parameters and positions (GGA-PBE), the X-ray diffraction stick pattern of Be2BiW was calculated for Cu Ka.
Lines closer than 0.1° are merged.

Main lines, sorted by position (15° ≤ 2θ ≤ 90°):
24.1 deg, rel. 100; 39.9 deg, rel. 94; 47.2 deg, rel. 52; 57.7 deg, rel. 16; 63.5 deg, rel. 22; 72.5 deg, rel. 34; 77.7 deg, rel. 17; 86.1 deg, rel. 11

Structural model:
a b c (Å): 6.387 6.387 6.387
angles (deg): 90.00 90.00 90.00
Positions (direct):
Be 0.000 0.000 0.000
Be 0.000 0.500 0.500
Be 0.250 0.250 0.250
Be 0.250 0.750 0.750
Be 0.500 0.000 0.500
Be 0.500 0.500 0.000
Be 0.750 0.250 0.750
Be 0.750 0.750 0.250
Bi 0.000 0.000 0.500
Bi 0.000 0.500 0.000
Bi 0.500 0.000 0.000
Bi 0.500 0.500 0.500
W 0.250 0.250 0.750
W 0.250 0.750 0.250
W 0.750 0.250 0.250
W 0.750 0.750 0.750


Starting from DFT lattice parameters and positions (GGA-PBE), the X-ray diffraction stick pattern of CoHgGeSe3 was calculated for Cu Ka.
Lines closer than 0.1° are merged.

Main lines, sorted by position (15° ≤ 2θ ≤ 90°):
21.9 deg, rel. 93; 26.8 deg, rel. 53; 29.9 deg, rel. 100; 37.9 deg, rel. 64; 39.1 deg, rel. 42; 42.6 deg, rel. 67; 49.0 deg, rel. 48; 49.9 deg, rel. 30

Structural model:
a b c (Å): 8.019 8.019 9.498
angles (deg): 90.00 90.00 153.66
Positions (direct):
Co 0.000 0.000 0.000
Co 0.000 0.000 0.500
Hg 0.284 0.716 0.750
Hg 0.716 0.284 0.250
Ge 0.353 0.647 0.250
Ge 0.647 0.353 0.750
Se 0.033 0.967 0.750
Se 0.401 0.599 0.522
Se 0.401 0.599 0.978
Se 0.599 0.401 0.022
Se 0.599 0.401 0.478
Se 0.967 0.033 0.250


Starting from DFT lattice parameters and positions (GGA-PBE), the X-ray diffraction stick pattern of K2FeP2Se6 was calculated for Cu Ka.
Lines closer than 0.1° are merged.

Main lines, sorted by position (15° ≤ 2θ ≤ 90°):
27.6 deg, rel. 38; 28.5 deg, rel. 30; 28.6 deg, rel. 87; 31.4 deg, rel. 100; 33.6 deg, rel. 36; 34.1 deg, rel. 28; 36.0 deg, rel. 26; 49.2 deg, rel. 23

Structural model:
a b c (Å): 6.416 12.807 8.848
angles (deg): 90.00 122.40 90.00
Positions (direct):
K 0.181 0.194 0.456
K 0.181 0.306 0.956
K 0.819 0.694 0.044
K 0.819 0.806 0.544
Fe 0.500 0.000 0.000
Fe 0.500 0.500 0.500
P 0.150 0.533 0.633
P 0.150 0.967 0.133
P 0.850 0.033 0.867
P 0.850 0.467 0.367
Se 0.060 0.057 0.736
Se 0.060 0.443 0.236
Se 0.297 0.669 0.566
Se 0.297 0.831 0.066
Se 0.446 0.085 0.250
Se 0.446 0.415 0.750
Se 0.554 0.585 0.250
Se 0.554 0.915 0.750
Se 0.703 0.169 0.934
Se 0.703 0.331 0.434
Se 0.940 0.557 0.764
Se 0.940 0.943 0.264


Starting from DFT lattice parameters and positions (GGA-PBE), the X-ray diffraction stick pattern of Y2HoCo2B2P3 was calculated for Cu Ka.
Lines closer than 0.1° are merged.

Main lines, sorted by position (15° ≤ 2θ ≤ 90°):
26.2 deg, rel. 78; 31.0 deg, rel. 28; 32.9 deg, rel. 100; 33.9 deg, rel. 57; 41.4 deg, rel. 68; 47.2 deg, rel. 69; 58.7 deg, rel. 40; 78.5 deg, rel. 26

Structural model:
a b c (Å): 11.244 11.244 11.244
angles (deg): 160.27 160.27 28.04
Positions (direct):
Y 0.138 0.138 0.000
Y 0.862 0.862 0.000
Ho 0.500 0.500 0.000
Co 0.250 0.750 0.500
Co 0.750 0.250 0.500
B 0.285 0.285 0.000
B 0.715 0.715 0.000
P 0.000 0.000 0.000
P 0.375 0.375 0.000
P 0.625 0.625 0.000


Starting from DFT lattice parameters and positions (GGA-PBE), the X-ray diffraction stick pattern of NdBH8SO10 was calculated for Cu Ka.
Lines closer than 0.1° are merged.

Main lines, sorted by position (15° ≤ 2θ ≤ 90°):
16.4 deg, rel. 67; 17.4 deg, rel. 100; 19.4 deg, rel. 91; 21.4 deg, rel. 29; 26.7 deg, rel. 45; 31.2 deg, rel. 36; 32.7 deg, rel. 48; 35.1 deg, rel. 30

Structural model:
a b c (Å): 6.166 9.163 6.701
angles (deg): 90.00 93.43 90.00
Positions (direct):
Nd 0.177 0.250 0.282
Nd 0.823 0.750 0.718
B 0.327 0.750 0.730
B 0.673 0.250 0.270
H 0.030 0.054 0.727
H 0.030 0.446 0.727
H 0.128 0.565 0.094
H 0.128 0.935 0.094
H 0.237 0.750 0.432
H 0.281 0.750 0.027
H 0.415 0.534 0.686
H 0.415 0.966 0.686
H 0.585 0.034 0.314
H 0.585 0.466 0.314
H 0.719 0.250 0.973
H 0.763 0.250 0.568
H 0.872 0.065 0.906
H 0.872 0.435 0.906
H 0.970 0.554 0.273
H 0.970 0.946 0.273
S 0.333 0.250 0.741
S 0.667 0.750 0.259
O 0.098 0.509 0.214
O 0.098 0.991 0.214
O 0.167 0.750 0.559
O 0.186 0.750 0.902
O 0.226 0.250 0.930
O 0.256 0.120 0.619
O 0.256 0.380 0.619
O 0.430 0.750 0.233
O 0.479 0.626 0.735
O 0.479 0.874 0.735
O 0.521 0.126 0.265
O 0.521 0.374 0.265
O 0.570 0.250 0.767
O 0.744 0.620 0.381
O 0.744 0.880 0.381
O 0.774 0.750 0.070
O 0.814 0.250 0.098
O 0.833 0.250 0.441
O 0.902 0.009 0.786
O 0.902 0.491 0.786


Starting from DFT lattice parameters and positions (GGA-PBE), the X-ray diffraction stick pattern of Cu11Te2 was calculated for Cu Ka.
Lines closer than 0.1° are merged.

Main lines, sorted by position (15° ≤ 2θ ≤ 90°):
35.9 deg, rel. 30; 41.1 deg, rel. 95; 43.7 deg, rel. 100; 44.1 deg, rel. 74; 44.8 deg, rel. 75; 45.8 deg, rel. 47; 46.6 deg, rel. 42; 58.6 deg, rel. 23

Structural model:
a b c (Å): 4.548 4.548 22.029
angles (deg): 97.69 97.69 40.55
Positions (direct):
Cu 0.000 0.000 0.000
Cu 0.054 0.054 0.882
Cu 0.260 0.260 0.160
Cu 0.315 0.315 0.040
Cu 0.369 0.369 0.920
Cu 0.431 0.431 0.798
Cu 0.569 0.569 0.202
Cu 0.631 0.631 0.080
Cu 0.685 0.685 0.960
Cu 0.740 0.740 0.840
Cu 0.946 0.946 0.118
Te 0.125 0.125 0.739
Te 0.875 0.875 0.261


Starting from DFT lattice parameters and positions (GGA-PBE), the X-ray diffraction stick pattern of Cu7Ag2 was calculated for Cu Ka.
Lines closer than 0.1° are merged.

Main lines, sorted by position (15° ≤ 2θ ≤ 90°):
36.8 deg, rel. 24; 37.5 deg, rel. 18; 38.3 deg, rel. 25; 43.3 deg, rel. 22; 43.9 deg, rel. 100; 44.2 deg, rel. 20; 45.0 deg, rel. 22; 46.2 deg, rel. 18

Structural model:
a b c (Å): 4.797 4.797 12.086
angles (deg): 90.00 90.00 59.99
Positions (direct):
Cu 0.012 0.663 0.576
Cu 0.012 0.663 0.924
Cu 0.172 0.828 0.750
Cu 0.177 0.325 0.750
Cu 0.325 0.177 0.250
Cu 0.337 0.988 0.576
Cu 0.337 0.988 0.924
Cu 0.663 0.012 0.076
Cu 0.663 0.012 0.424
Cu 0.675 0.823 0.750
Cu 0.823 0.675 0.250
Cu 0.828 0.172 0.250
Cu 0.988 0.337 0.076
Cu 0.988 0.337 0.424
Ag 0.327 0.673 0.118
Ag 0.327 0.673 0.382
Ag 0.673 0.327 0.618
Ag 0.673 0.327 0.882


Starting from DFT lattice parameters and positions (GGA-PBE), the X-ray diffraction stick pattern of Rb2PdCl3F was calculated for Cu Ka.
Lines closer than 0.1° are merged.

Main lines, sorted by position (15° ≤ 2θ ≤ 90°):
25.1 deg, rel. 48; 27.5 deg, rel. 100; 28.9 deg, rel. 60; 33.6 deg, rel. 37; 34.1 deg, rel. 44; 38.5 deg, rel. 27; 45.2 deg, rel. 28; 47.9 deg, rel. 29

Structural model:
a b c (Å): 4.126 9.352 10.530
angles (deg): 90.00 90.00 90.00
Positions (direct):
Rb 0.000 0.218 0.000
Rb 0.000 0.282 0.500
Rb 0.000 0.718 0.500
Rb 0.000 0.782 0.000
Pd 0.500 0.000 0.251
Pd 0.500 0.500 0.751
Cl 0.500 0.000 0.469
Cl 0.500 0.249 0.249
Cl 0.500 0.251 0.749
Cl 0.500 0.500 0.969
Cl 0.500 0.749 0.749
Cl 0.500 0.751 0.249
F 0.500 0.000 0.055
F 0.500 0.500 0.555